(1)
Structure and computed XRD peak list of TaPtS5 (a cell relaxed with PBE; a wavelength of 1.5418 Å).

The 8 most intense peaks (15° ≤ 2θ ≤ 90°), by angle:
2θ 26.1, intensity 33; 2θ 29.5, intensity 55; 2θ 30.2, intensity 87; 2θ 36.1, intensity 100; 2θ 38.2, intensity 42; 2θ 45.9, intensity 55; 2θ 48.7, intensity 50; 2θ 52.8, intensity 28

Atomic structure:
```
data_TaPtS5
_chemical_formula_sum 'Ta2 Pt2 S10'
_cell_length_a 6.7320
_cell_length_b 6.7320
_cell_length_c 13.6732
_cell_angle_alpha 90.00
_cell_angle_beta 90.00
_cell_angle_gamma 150.85
_symmetry_space_group_name_H-M 'P 1'
_symmetry_Int_Tables_number 1
_symmetry_space_group_name_Hall 'P 1'
loop_
_atom_site_label
_atom_site_fract_x
_atom_site_fract_y
_atom_site_fract_z
_atom_site_occupancy
Ta1 0.0007 0.9993 0.7500 1
Ta2 0.9993 0.0007 0.2500 1
Pt1 0.5000 0.5000 0.0000 1
Pt2 0.5000 0.5000 0.5000 1
S1 0.0967 0.9033 0.5836 1
S2 0.0967 0.9033 0.9164 1
S3 0.3581 0.6419 0.2500 1
S4 0.4034 0.5966 0.6482 1
S5 0.4034 0.5966 0.8518 1
S6 0.5966 0.4034 0.1482 1
S7 0.5966 0.4034 0.3518 1
S8 0.6419 0.3581 0.7500 1
S9 0.9033 0.0967 0.0836 1
S10 0.9033 0.0967 0.4164 1
```


(2)
Structure and computed XRD peak list of TePtS (a cell relaxed with PBE; a wavelength of 1.5418 Å).

The 8 most intense peaks (15° ≤ 2θ ≤ 90°), by angle:
2θ 16.6, intensity 76; 2θ 27.6, intensity 27; 2θ 29.3, intensity 100; 2θ 35.2, intensity 48; 2θ 39.1, intensity 68; 2θ 47.8, intensity 50; 2θ 48.3, intensity 40; 2θ 89.5, intensity 31

Atomic structure:
```
data_TePtS
_chemical_formula_sum 'Te1 Pt1 S1'
_cell_length_a 5.7887
_cell_length_b 5.7887
_cell_length_c 5.7887
_cell_angle_alpha 38.40
_cell_angle_beta 38.40
_cell_angle_gamma 38.40
_symmetry_space_group_name_H-M 'P 1'
_symmetry_Int_Tables_number 1
_symmetry_space_group_name_Hall 'P 1'
loop_
_atom_site_label
_atom_site_fract_x
_atom_site_fract_y
_atom_site_fract_z
_atom_site_occupancy
Te1 0.0000 0.0000 0.0000 1
Pt1 0.4248 0.4248 0.4248 1
S1 0.1762 0.1762 0.1762 1
```


Repeat the first record exactly.
Structure and computed XRD peak list of TaPtS5 (a cell relaxed with PBE; a wavelength of 1.5418 Å).

The 8 most intense peaks (15° ≤ 2θ ≤ 90°), by angle:
2θ 26.1, intensity 33; 2θ 29.5, intensity 55; 2θ 30.2, intensity 87; 2θ 36.1, intensity 100; 2θ 38.2, intensity 42; 2θ 45.9, intensity 55; 2θ 48.7, intensity 50; 2θ 52.8, intensity 28

Atomic structure:
```
data_TaPtS5
_chemical_formula_sum 'Ta2 Pt2 S10'
_cell_length_a 6.7320
_cell_length_b 6.7320
_cell_length_c 13.6732
_cell_angle_alpha 90.00
_cell_angle_beta 90.00
_cell_angle_gamma 150.85
_symmetry_space_group_name_H-M 'P 1'
_symmetry_Int_Tables_number 1
_symmetry_space_group_name_Hall 'P 1'
loop_
_atom_site_label
_atom_site_fract_x
_atom_site_fract_y
_atom_site_fract_z
_atom_site_occupancy
Ta1 0.0007 0.9993 0.7500 1
Ta2 0.9993 0.0007 0.2500 1
Pt1 0.5000 0.5000 0.0000 1
Pt2 0.5000 0.5000 0.5000 1
S1 0.0967 0.9033 0.5836 1
S2 0.0967 0.9033 0.9164 1
S3 0.3581 0.6419 0.2500 1
S4 0.4034 0.5966 0.6482 1
S5 0.4034 0.5966 0.8518 1
S6 0.5966 0.4034 0.1482 1
S7 0.5966 0.4034 0.3518 1
S8 0.6419 0.3581 0.7500 1
S9 0.9033 0.0967 0.0836 1
S10 0.9033 0.0967 0.4164 1
```